Record 1
Diffraction record for Rb3AgSe2O8. The powder diffractogram is simulated, not measured: it uses a DFT-relaxed cell (GGA-PBE, Alexandria) and Cu Kα X-rays.
Intensities are scaled so that the largest is 100.

Largest 10 diffraction maxima, by angle, 5° ≤ 2θ ≤ 70°:
- 27.92°, rel. 88, hkl 0 1 2
- 29.08°, rel. 100, hkl 1 1 0
- 40.75°, rel. 46, hkl 2 0 2
- 48.67°, rel. 8, hkl 1 0 4
- 50.83°, rel. 30, hkl 1 2 2
- 51.54°, rel. 19, hkl 3 0 0
- 54.80°, rel. 10, hkl 1 1 4
- 57.70°, rel. 9, hkl 0 2 4
- 60.27°, rel. 17, hkl 2 2 0
- 67.69°, rel. 14, hkl 3 1 2

Atomic structure:
abc: 6.1425 6.1425 7.9945
angles: 90.00 90.00 120.00
Space group P-3m1 (No. 164)
Inequivalent atoms, fractional coordinates:
Rb (0.0000, 0.0000, 0.0000) [1 per cell]
Rb (0.3333, 0.6667, 0.6739) [2 per cell]
Ag (0.0000, 0.0000, 0.5000) [1 per cell]
Se (0.3333, 0.6667, 0.2294) [2 per cell]
O (0.1843, 0.3686, 0.3033) [6 per cell]
O (0.3333, 0.6667, 0.0220) [2 per cell]



Record 2
Diffraction record for Dy3Th4Se8. The powder diffractogram is simulated, not measured: it uses a DFT-relaxed cell (GGA-PBE, Alexandria) and Cu Kα X-rays.
Intensities are scaled so that the largest is 100.

Largest 10 diffraction maxima, by angle, 5° ≤ 2θ ≤ 70°:
- 22.01°, rel. 24, hkl 0 0 6
- 22.68°, rel. 75, hkl 1 1 0
- 25.25°, rel. 67, hkl 1 1 3
- 26.51°, rel. 49, hkl 0 2 1
- 30.18°, rel. 100, hkl 0 2 4
- 31.81°, rel. 57, hkl 1 1 6
- 37.09°, rel. 51, hkl 0 2 7
- 39.89°, rel. 86, hkl 2 0 8
- 46.32°, rel. 93, hkl 2 2 0
- 66.48°, rel. 37, hkl 2 2 12

Atomic structure:
abc: 7.8408 7.8408 24.2281
angles: 90.00 90.00 120.00
Space group R-3m (No. 166, hexagonal axes)
Inequivalent atoms, fractional coordinates:
Dy (0.0000, 0.5000, 0.0000) [9 per cell]
Th (0.0000, 0.0000, 0.0000) [3 per cell]
Th (0.0000, 0.0000, 0.1510) [6 per cell]
Th (0.0000, 0.0000, 0.5000) [3 per cell]
Se (0.0000, 0.0000, 0.2669) [6 per cell]
Se (0.0091, 0.5046, 0.2554) [18 per cell]